Record 1
Al2PbSe4: computed X-ray powder pattern (Cu Kα X-rays), based on the GGA-PBE geometry in the Materials Project.
Peak positions follow from Bragg's law for the DFT cell and can differ from measured ones.

Crystal structure
```
Al2PbSe4
1.0
3.142 -5.529 0.000
3.142 5.529 0.000
0.000 0.000 11.020
Al Pb Se
4 2 8
Cartesian
3.135 2.866 0.000
3.148 2.866 5.510
3.135 -2.866 5.510
3.148 -2.866 0.000
3.142 0.000 2.755
3.142 0.000 8.265
1.571 2.764 1.852
1.571 2.764 9.169
1.670 0.924 5.510
1.670 -0.924 0.000
1.571 -2.764 3.659
1.571 -2.764 7.362
4.613 0.924 0.000
4.613 -0.924 5.510
```

Main lines, sorted by position (2θ = 10–90°):
16.2°, rel. 79.8
22.9°, rel. 58.8
28.1°, rel. 22.0
29.3°, rel. 100.0
32.5°, rel. 44.8
32.8°, rel. 33.8
36.4°, rel. 47.2
36.5°, rel. 22.6
36.7°, rel. 83.7
50.3°, rel. 22.0
50.8°, rel. 20.0
55.4°, rel. 24.6


Record 2
K2LiCeF6: computed X-ray powder pattern (Cu Kα X-rays), based on the GGA-PBE geometry in the Materials Project.
Peak positions follow from Bragg's law for the DFT cell and can differ from measured ones.

Crystal structure
```
K2LiCeF6
1.0
0.000 4.381 4.381
4.381 0.000 4.381
4.381 4.381 0.000
K Li Ce F
2 1 1 6
Cartesian
2.190 2.190 2.190
6.571 6.571 6.571
0.000 0.000 0.000
4.381 4.381 4.381
4.381 4.381 2.098
4.381 2.098 4.381
6.664 4.381 4.381
2.098 4.381 4.381
4.381 6.664 4.381
4.381 4.381 6.664
```

Main lines, sorted by position (2θ = 10–90°):
17.5°, rel. 99.4
20.3°, rel. 35.4
28.8°, rel. 100.0
33.9°, rel. 69.2
41.2°, rel. 61.2
45.1°, rel. 35.8
51.1°, rel. 39.4
54.4°, rel. 21.1
59.7°, rel. 35.8
62.7°, rel. 20.4
67.6°, rel. 17.6
82.4°, rel. 20.4